(1)
Computed X-ray powder pattern
Compound: Pr4Y2Er5
Radiation: Cu Ka
Structure: a crystal structure in Alexandria, relaxed with GGA-PBE
Lines closer than 0.1° are merged.

Most intense lines, 10 to 80 degrees two-theta, low angle first:
d [Å], I (rel.)
2.911, 24
2.892, 13
2.858, 70
2.843, 100
2.034, 18
1.998, 10
1.644, 14
1.641, 14
1.635, 11
1.505, 8

Atomic structure:
```
11
Lattice="9.631 -2.842 0.000 9.631 2.842 0.000 -0.120 0.000 6.643" Properties=species:S:1:pos:R:3 pbc="T T T"
Pr 0.367 0.000 1.899
Pr 5.779 0.000 6.157
Pr 13.362 0.000 0.487
Pr 18.774 0.000 4.744
Y 7.675 0.000 2.952
Y 11.466 0.000 3.692
Er 2.405 0.000 5.902
Er 3.981 0.000 2.673
Er 9.631 0.000 0.000
Er 15.160 0.000 3.971
Er 16.735 0.000 0.742
```

***

(2)
Computed X-ray powder pattern
Compound: YAg2F6
Radiation: Cu Ka
Structure: a crystal structure in Alexandria, relaxed with GGA-PBE
Lines closer than 0.1° are merged.

Most intense lines, 10 to 80 degrees two-theta, low angle first:
d [Å], I (rel.)
3.325, 100
3.127, 80
2.790, 37
2.072, 22
1.972, 77
1.889, 17
1.727, 27
1.695, 12
1.667, 13
1.643, 24

Atomic structure:
```
9
Lattice="-1.889 2.786 6.216 1.889 -2.786 6.216 1.889 2.786 -6.216" Properties=species:S:1:pos:R:3 pbc="T T T"
Y 0.000 0.000 0.000
Ag 0.000 0.000 4.125
Ag 0.000 0.000 8.308
F 1.889 -1.402 4.319
F 1.889 1.258 0.000
F 0.000 1.384 1.897
F 1.889 1.402 4.319
F 0.000 1.528 6.216
F 0.000 4.188 1.897
```

***

(3)
Computed X-ray powder pattern
Compound: PmErTmTh
Radiation: Cu Ka
Structure: a crystal structure in Alexandria, relaxed with GGA-PBE
Lines closer than 0.1° are merged.

Most intense lines, 10 to 80 degrees two-theta, low angle first:
d [Å], I (rel.)
3.052, 37
2.864, 46
2.827, 100
2.622, 75
2.302, 21
1.790, 36
1.694, 24
1.562, 14
1.518, 41
1.512, 15

Atomic structure:
```
12
Lattice="3.580 0.000 0.000 -1.790 3.101 0.000 0.000 0.000 34.369" Properties=species:S:1:pos:R:3 pbc="T T T"
Pm 0.000 0.000 0.000
Pm 0.000 2.067 22.913
Pm 1.790 1.034 11.456
Er 0.000 0.000 8.528
Er 0.000 2.067 31.441
Er 1.790 1.034 19.984
Tm 0.000 0.000 14.405
Tm 0.000 2.067 2.949
Tm 1.790 1.034 25.861
Th 0.000 0.000 28.654
Th 0.000 2.067 17.197
Th 1.790 1.034 5.741
```

***

(4)
Computed X-ray powder pattern
Compound: Ba6Nd2Al4O15
Radiation: Cu Ka
Structure: a crystal structure in Alexandria, relaxed with GGA-PBE
Lines closer than 0.1° are merged.

Most intense lines, 10 to 80 degrees two-theta, low angle first:
d [Å], I (rel.)
4.125, 22
3.372, 16
3.048, 15
3.033, 17
2.952, 39
2.930, 100
2.907, 42
2.447, 24
2.063, 18
1.700, 14

Atomic structure:
```
54
Lattice="5.905 -10.124 0.000 5.905 10.124 0.000 -0.079 0.000 7.114" Properties=species:S:1:pos:R:3 pbc="T T T"
Ba 5.866 10.097 3.557
Ba 2.983 1.728 5.789
Ba 5.908 6.591 5.861
Ba 5.888 3.373 3.613
Ba 3.023 -1.728 2.232
Ba 8.518 4.833 1.068
Ba 8.668 1.752 5.844
Ba 5.927 -3.373 0.056
Ba 8.707 -1.752 2.287
Ba 5.947 -6.591 2.304
Ba 8.478 -4.833 4.625
Ba 5.905 -10.097 0.000
Nd 3.327 4.874 1.051
Nd 5.911 0.380 1.030
Nd 5.872 -0.380 4.587
Nd 3.288 -4.874 4.608
Al 5.927 6.441 2.252
Al 3.253 1.801 2.183
Al 5.828 3.305 6.874
Al 3.213 -1.801 5.740
Al 8.549 1.801 2.324
Al 5.867 -3.305 3.317
Al 8.510 -1.801 5.881
Al 5.887 -6.441 5.809
O 4.358 6.248 3.018
O 2.799 3.316 2.950
O 1.856 0.912 1.578
O 6.143 8.025 1.486
O 4.440 4.143 5.991
O 1.816 -0.912 5.135
O 5.823 5.024 1.089
O 4.459 2.416 0.967
O 7.287 6.104 3.368
O 4.296 0.744 3.177
O 4.257 -0.744 6.733
O 2.760 -3.316 6.507
O 7.207 4.120 5.853
O 5.851 1.675 5.880
O 4.420 -2.416 4.524
O 7.337 2.383 1.069
O 5.891 -1.675 2.323
O 4.479 -4.143 2.435
O 7.483 0.690 3.222
O 8.966 3.198 3.352
O 7.444 -0.690 6.779
O 4.318 -6.248 6.575
O 7.298 -2.383 4.626
O 5.784 -5.024 4.646
O 9.986 1.006 1.659
O 7.246 -4.120 2.296
O 9.947 -1.006 5.216
O 6.104 -8.025 5.043
O 8.927 -3.198 6.909
O 7.248 -6.104 6.925
```

***

(5)
Computed X-ray powder pattern
Compound: Ac8Ir3Au3N
Radiation: Cu Ka
Structure: a crystal structure in Alexandria, relaxed with GGA-PBE
Lines closer than 0.1° are merged.

Most intense lines, 10 to 80 degrees two-theta, low angle first:
d [Å], I (rel.)
6.221, 8
3.110, 100
2.245, 34
2.159, 13
2.155, 26
1.774, 13
1.555, 11
1.414, 8
1.370, 11
1.262, 7

Atomic structure:
```
15
Lattice="7.463 -4.318 0.000 7.463 4.318 0.000 -4.964 0.000 7.489" Properties=species:S:1:pos:R:3 pbc="T T T"
Ac -0.145 0.000 5.295
Ac 3.807 2.276 5.303
Ac 6.155 2.276 2.186
Ac 2.493 0.000 2.070
Ac 7.468 0.000 5.419
Ac 3.807 -2.276 5.303
Ac 6.155 -2.276 2.186
Ac 10.106 0.000 2.194
Ir 1.249 2.159 3.745
Ir 1.249 -2.159 3.745
Ir 4.981 0.000 3.745
Au 0.000 0.000 0.000
Au 3.731 2.159 0.000
Au 3.731 -2.159 0.000
N -2.482 0.000 3.745
```

***

(6)
Computed X-ray powder pattern
Compound: Sm2Tm2Mg3
Radiation: Cu Ka
Structure: a crystal structure in Alexandria, relaxed with GGA-PBE
Lines closer than 0.1° are merged.

Most intense lines, 10 to 80 degrees two-theta, low angle first:
d [Å], I (rel.)
7.816, 92
4.048, 27
3.029, 26
2.820, 100
2.806, 50
2.773, 46
2.466, 69
2.360, 30
1.712, 23
1.697, 21

Atomic structure:
```
14
Lattice="14.616 0.000 0.000 0.000 3.516 0.000 -2.867 0.000 7.816" Properties=species:S:1:pos:R:3 pbc="T T T"
Sm 0.459 0.000 1.682
Sm 3.982 1.758 6.134
Sm 7.767 1.758 1.682
Sm 11.290 0.000 6.134
Tm -0.513 1.758 7.156
Tm 4.954 0.000 0.660
Tm 6.795 0.000 7.156
Tm 12.262 1.758 0.660
Mg -1.433 1.758 3.908
Mg 1.278 0.000 4.972
Mg 3.163 1.758 2.844
Mg 5.875 0.000 3.908
Mg 8.586 1.758 4.972
Mg 10.471 0.000 2.844
```

***

(7)
Computed X-ray powder pattern
Compound: Zn4CdAg
Radiation: Cu Ka
Structure: a crystal structure in Alexandria, relaxed with GGA-PBE
Lines closer than 0.1° are merged.

Most intense lines, 10 to 80 degrees two-theta, low angle first:
d [Å], I (rel.)
4.227, 1
2.588, 45
2.207, 100
2.113, 26
1.830, 1
1.494, 15
1.409, 30
1.294, 23

Atomic structure:
```
6
Lattice="0.000 3.660 3.660 3.660 0.000 3.660 3.660 3.660 0.000" Properties=species:S:1:pos:R:3 pbc="T T T"
Zn 0.913 0.913 0.913
Zn 2.747 2.747 0.913
Zn 2.747 0.913 2.747
Zn 0.913 2.747 2.747
Cd 3.660 3.660 3.660
Ag 5.491 5.491 5.491
```

***

(8)
Computed X-ray powder pattern
Compound: TiBe10Fe
Radiation: Cu Ka
Structure: a crystal structure in Alexandria, relaxed with GGA-PBE
Lines closer than 0.1° are merged.

Most intense lines, 10 to 80 degrees two-theta, low angle first:
d [Å], I (rel.)
3.691, 80
3.432, 31
2.513, 100
2.133, 24
2.127, 12
1.844, 18
1.812, 41
1.808, 20
1.337, 14
1.293, 14

Atomic structure:
```
12
Lattice="3.432 0.000 0.000 0.000 4.253 0.000 0.000 0.000 7.396" Properties=species:S:1:pos:R:3 pbc="T T T"
Ti 0.000 0.000 0.000
Be 0.000 0.000 2.532
Be 0.000 0.000 4.863
Be 0.000 2.127 1.336
Be 0.000 2.127 6.060
Be 1.716 0.000 3.698
Be 1.716 1.059 1.883
Be 1.716 1.059 5.513
Be 1.716 2.127 0.000
Be 1.716 3.195 1.883
Be 1.716 3.195 5.513
Fe 0.000 2.127 3.698
```